(1)
Structure and simulated powder diffraction line list of TbCd2RhO6 (a DFT-relaxed cell (GGA-PBE, Alexandria); Cu Kα).
Lines closer than 0.1° are merged.

The 10 most intense peaks (15° ≤ 2θ ≤ 90°), most intense first:
Position (°2θ)	d [Å]	I/Imax
31.33	2.855	100
31.46	2.844	68
31.83	2.812	33
45.23	2.005	29
55.67	1.651	25
55.81	1.647	20
44.78	2.024	17
56.54	1.628	16
56.35	1.633	15
65.66	1.422	8

Cell lengths 5.6231, 5.7187, 9.8362 Å; angles 90.00, 124.61, 90.00 degrees
Sites, in units of the cell vectors:
Tb1 0.0000 0.0000 0.0000
Tb2 0.0000 0.5000 0.5000
Cd1 0.2525 0.0446 0.7474
Cd2 0.2525 0.4554 0.2474
Cd3 0.7475 0.5446 0.7526
Cd4 0.7475 0.9554 0.2526
Rh1 0.5000 0.0000 0.5000
Rh2 0.5000 0.5000 0.0000
O1 0.1574 0.0612 0.2687
O2 0.1574 0.4388 0.7687
O3 0.2613 0.6733 0.0552
O4 0.2613 0.8267 0.5552
O5 0.3997 0.2086 0.0653
O6 0.3997 0.2914 0.5653
O7 0.6003 0.7086 0.4347
O8 0.6003 0.7914 0.9347
O9 0.7387 0.1733 0.4448
O10 0.7387 0.3267 0.9448
O11 0.8426 0.5612 0.2313
O12 0.8426 0.9388 0.7313


(2)
Structure and simulated powder diffraction line list of La2Pm2Pb (a DFT-relaxed cell (GGA-PBE, Alexandria); Cu Kα).
Lines closer than 0.1° are merged.

The 10 most intense peaks (15° ≤ 2θ ≤ 90°), most intense first:
Position (°2θ)	d [Å]	I/Imax
31.92	2.804	100
28.06	3.181	62
54.53	1.683	36
33.87	2.647	35
43.00	2.104	25
56.88	1.619	19
43.15	2.096	18
58.13	1.587	15
73.87	1.283	15
47.23	1.925	14

Cell lengths 5.6078, 5.6078, 12.6258 Å; angles 90.00, 90.00, 120.00 degrees
Sites, in units of the cell vectors:
La1 0.3333 0.6667 0.0851
La2 0.3333 0.6667 0.4149
La3 0.6667 0.3333 0.5851
La4 0.6667 0.3333 0.9149
Pm1 0.0000 0.0000 0.0000
Pm2 0.0000 0.0000 0.5000
Pm3 0.3333 0.6667 0.7500
Pm4 0.6667 0.3333 0.2500
Pb1 0.0000 0.0000 0.2500
Pb2 0.0000 0.0000 0.7500


(3)
Structure and simulated powder diffraction line list of ZnCdGa4S8 (a DFT-relaxed cell (GGA-PBE, Alexandria); Cu Kα).
Lines closer than 0.1° are merged.

The 10 most intense peaks (15° ≤ 2θ ≤ 90°), most intense first:
Position (°2θ)	d [Å]	I/Imax
28.66	3.115	100
48.08	1.892	40
55.85	1.646	28
46.86	1.939	22
18.27	4.857	21
58.00	1.590	14
87.96	1.110	13
77.66	1.229	11
22.93	3.878	10
37.67	2.388	8

Cell lengths 5.4839, 5.4839, 10.4591 Å; angles 90.00, 90.00, 90.00 degrees
Sites, in units of the cell vectors:
Zn1 0.0000 0.0000 0.0000
Cd1 0.5000 0.5000 0.5000
Ga1 0.0000 0.0000 0.5000
Ga2 0.0000 0.5000 0.2456
Ga3 0.5000 0.0000 0.7544
Ga4 0.5000 0.5000 0.0000
S1 0.2290 0.2346 0.6386
S2 0.2346 0.7710 0.3614
S3 0.2546 0.7424 0.8724
S4 0.2576 0.2546 0.1276
S5 0.7424 0.7454 0.1276
S6 0.7454 0.2576 0.8724
S7 0.7654 0.2290 0.3614
S8 0.7710 0.7654 0.6386


(4)
Structure and simulated powder diffraction line list of MgTiH6O2F6 (a DFT-relaxed cell (GGA-PBE, Alexandria); Cu Kα).
Lines closer than 0.1° are merged.

The 10 most intense peaks (15° ≤ 2θ ≤ 90°), most intense first:
Position (°2θ)	d [Å]	I/Imax
23.00	3.866	100
30.53	2.928	70
17.49	5.071	58
43.27	2.091	57
38.57	2.334	38
47.00	1.933	33
34.10	2.629	27
57.09	1.613	27
34.85	2.574	26
54.27	1.690	25

Cell lengths 5.8554, 5.8554, 5.9757 Å; angles 90.00, 90.00, 120.00 degrees
Sites, in units of the cell vectors:
Mg1 0.0000 0.0000 0.0000
Ti1 0.3333 0.6667 0.8489
H1 0.0150 0.1979 0.6249
H2 0.1828 0.9850 0.6249
H3 0.5100 0.1591 0.1940
H4 0.6491 0.4900 0.1940
H5 0.8021 0.8172 0.6249
H6 0.8409 0.3509 0.1940
O1 0.0000 0.0000 0.6620
O2 0.6667 0.3333 0.2437
F1 0.0392 0.4197 0.6280
F2 0.0838 0.3448 0.0907
F3 0.2610 0.9162 0.0907
F4 0.3805 0.9608 0.6280
F5 0.5803 0.6195 0.6280
F6 0.6552 0.7390 0.0907


(5)
Structure and simulated powder diffraction line list of RbI3O6 (a DFT-relaxed cell (GGA-PBE, Alexandria); Cu Kα).
Lines closer than 0.1° are merged.

The 10 most intense peaks (15° ≤ 2θ ≤ 90°), most intense first:
Position (°2θ)	d [Å]	I/Imax
26.16	3.407	100
25.53	3.489	91
45.77	1.982	40
36.87	2.438	38
44.61	2.031	23
59.53	1.553	20
46.15	1.967	18
60.48	1.531	17
53.82	1.703	14
70.96	1.328	12

Cell lengths 7.9991, 7.9991, 7.9991 Å; angles 116.82, 116.82, 116.82 degrees
Sites, in units of the cell vectors:
Rb1 0.0000 0.0000 0.0000
I1 0.0342 0.5261 0.5261
I2 0.5261 0.0342 0.5261
I3 0.5261 0.5261 0.0342
O1 0.3141 0.5826 0.5826
O2 0.3261 0.9361 0.9361
O3 0.5826 0.3141 0.5826
O4 0.5826 0.5826 0.3141
O5 0.9361 0.3261 0.9361
O6 0.9361 0.9361 0.3261


(6)
Structure and simulated powder diffraction line list of Na2Dy2OsO6 (a DFT-relaxed cell (GGA-PBE, Alexandria); Cu Kα).
Lines closer than 0.1° are merged.

The 10 most intense peaks (15° ≤ 2θ ≤ 90°), most intense first:
Position (°2θ)	d [Å]	I/Imax
15.53	5.707	100
37.15	2.420	39
31.46	2.844	29
33.29	2.692	26
39.13	2.302	18
31.35	2.853	17
32.19	2.781	16
32.44	2.760	15
48.08	1.893	13
41.77	2.163	12

Cell lengths 5.7378, 5.7378, 5.9056 Å; angles 97.36, 97.36, 120.29 degrees
Sites, in units of the cell vectors:
Na1 0.1454 0.8546 0.0000
Na2 0.8546 0.1454 0.0000
Dy1 0.3386 0.6614 0.5000
Dy2 0.6614 0.3386 0.5000
Os1 0.0000 0.0000 0.5000
O1 0.0398 0.3534 0.6910
O2 0.2493 0.2493 0.2942
O3 0.3534 0.0398 0.6910
O4 0.6466 0.9602 0.3090
O5 0.7507 0.7507 0.7058
O6 0.9602 0.6466 0.3090


(7)
Structure and simulated powder diffraction line list of MgTl3Se4 (a DFT-relaxed cell (GGA-PBE, Alexandria); Cu Kα).
Lines closer than 0.1° are merged.

The 10 most intense peaks (15° ≤ 2θ ≤ 90°), most intense first:
Position (°2θ)	d [Å]	I/Imax
23.66	3.761	100
39.88	2.260	45
44.85	2.021	35
37.54	2.396	25
69.31	1.356	15
48.87	1.864	14
63.21	1.471	14
30.40	2.940	12
26.30	3.388	8
25.64	3.474	8

Cell lengths 6.7768, 6.7768, 12.1370 Å; angles 90.00, 90.00, 90.00 degrees
Sites, in units of the cell vectors:
Mg1 0.0000 0.0000 0.0000
Mg2 0.5000 0.5000 0.5000
Tl1 0.0000 0.0000 0.5000
Tl2 0.0000 0.5000 0.2500
Tl3 0.0000 0.5000 0.7500
Tl4 0.5000 0.0000 0.2500
Tl5 0.5000 0.0000 0.7500
Tl6 0.5000 0.5000 0.0000
Se1 0.2194 0.2194 0.8728
Se2 0.2194 0.7806 0.1272
Se3 0.2806 0.2806 0.3728
Se4 0.2806 0.7194 0.6272
Se5 0.7194 0.2806 0.6272
Se6 0.7194 0.7194 0.3728
Se7 0.7806 0.2194 0.1272
Se8 0.7806 0.7806 0.8728


(8)
Structure and simulated powder diffraction line list of Sm4GeS7 (a DFT-relaxed cell (GGA-PBE, Alexandria); Cu Kα).
Lines closer than 0.1° are merged.

The 10 most intense peaks (15° ≤ 2θ ≤ 90°), most intense first:
Position (°2θ)	d [Å]	I/Imax
23.76	3.745	100
24.06	3.698	80
32.42	2.761	56
33.67	2.662	46
46.41	1.956	46
41.46	2.178	36
31.28	2.859	35
27.39	3.257	34
30.84	2.899	34
27.54	3.238	28

Cell lengths 6.8013, 6.8013, 11.7568 Å; angles 104.61, 104.61, 33.43 degrees
Sites, in units of the cell vectors:
Sm1 0.0000 0.0000 0.0000
Sm2 0.1729 0.1729 0.7557
Sm3 0.5626 0.5626 0.3526
Sm4 0.8672 0.8672 0.5675
Ge1 0.7760 0.7760 0.1593
S1 0.1515 0.1515 0.2176
S2 0.2086 0.2086 0.5140
S3 0.4053 0.4053 0.1041
S4 0.5277 0.5277 0.6119
S5 0.6135 0.6135 0.9130
S6 0.8318 0.8318 0.7888
S7 0.9106 0.9106 0.3509